Entry 1:
Simulated powder diffractogram of DyY2Er2Tm2Ni2Te2 for Cu Ka, from a crystal structure in OQMD, relaxed with PBE.
Lines closer than 0.1° are merged.

Peak list (10 most intense, 5° ≤ 2θ ≤ 70°, most intense first)
2theta  I (rel.)
34.1  100
34.6  91
33.2  79
30.5  48
47.3  34
59.0  30
30.3  26
25.0  23
36.8  20
38.6  20

Structural model:
a b c (Å): 18.209 3.846 9.498
angles (deg): 90.00 121.42 90.00
Space group Cm (No. 8)
Inequivalent atoms, fractional coordinates:
Dy (0.000, 0.000, 0.000)
Y (0.147, 0.500, 0.914)
Y (0.353, 0.000, 0.620)
Er (0.185, 0.500, 0.305)
Er (0.315, 0.000, 0.935)
Tm (0.133, 0.000, 0.549)
Tm (0.366, 0.500, 0.283)
Ni (0.240, 0.000, 0.170)
Ni (0.260, 0.500, 0.689)
Te (0.000, 0.000, 0.661)
Te (0.000, 0.500, 0.266)

---

Entry 2:
Simulated powder diffractogram of Dy2YEr2Tm2Ni2Te2 for Cu Ka, from a crystal structure in OQMD, relaxed with PBE.
Lines closer than 0.1° are merged.

Peak list (10 most intense, 5° ≤ 2θ ≤ 70°, most intense first)
2theta  I (rel.)
34.2  100
33.1  81
34.7  81
30.5  43
59.1  39
47.5  29
25.1  25
38.6  22
29.0  20
36.8  20

Structural model:
a b c (Å): 3.830 15.528 9.515
angles (deg): 90.00 90.00 90.00
Space group Imm2 (No. 44)
Inequivalent atoms, fractional coordinates:
Dy (0.000, 0.132, 0.000)
Y (0.000, 0.000, 0.582)
Er (0.000, 0.315, 0.201)
Tm (0.000, 0.353, 0.851)
Ni (0.000, 0.238, 0.510)
Te (0.000, 0.000, 0.247)
Te (0.000, 0.500, 0.346)

---

Entry 3:
Simulated powder diffractogram of Dy2YEr2Tm2Ni2Te2 for Cu Ka, from a crystal structure in OQMD, relaxed with PBE.
Lines closer than 0.1° are merged.

Peak list (10 most intense, 5° ≤ 2θ ≤ 70°, most intense first)
2theta  I (rel.)
34.2  100
34.7  85
33.1  83
30.5  43
59.0  32
47.4  30
25.0  26
38.6  22
36.8  19
30.3  19

Structural model:
a b c (Å): 3.838 15.534 9.507
angles (deg): 90.00 90.00 90.00
Space group Imm2 (No. 44)
Inequivalent atoms, fractional coordinates:
Dy (0.000, 0.147, 0.000)
Y (0.000, 0.500, 0.732)
Er (0.000, 0.367, 0.149)
Tm (0.000, 0.185, 0.351)
Ni (0.000, 0.261, 0.660)
Te (0.000, 0.000, 0.496)
Te (0.000, 0.500, 0.394)

---

Entry 4:
Simulated powder diffractogram of Dy2YEr2Tm2Ni2Te2 for Cu Ka, from a crystal structure in OQMD, relaxed with PBE.
Lines closer than 0.1° are merged.

Peak list (10 most intense, 5° ≤ 2θ ≤ 70°, most intense first)
2theta  I (rel.)
34.2  100
33.1  82
34.7  82
30.5  43
59.1  39
47.5  29
25.1  25
38.6  22
29.0  20
36.8  20

Structural model:
a b c (Å): 3.829 15.521 9.515
angles (deg): 90.00 90.00 90.00
Space group Imm2 (No. 44)
Inequivalent atoms, fractional coordinates:
Dy (0.000, 0.132, 0.000)
Y (0.000, 0.000, 0.582)
Er (0.000, 0.353, 0.850)
Tm (0.000, 0.315, 0.201)
Ni (0.000, 0.238, 0.510)
Te (0.000, 0.000, 0.246)
Te (0.000, 0.500, 0.346)

---

Entry 5:
Simulated powder diffractogram of DyY4Er2Ni2Te2 for Cu Ka, from a crystal structure in OQMD, relaxed with PBE.
Lines closer than 0.1° are merged.

Peak list (10 most intense, 5° ≤ 2θ ≤ 70°, most intense first)
2theta  I (rel.)
34.0  100
32.9  66
30.3  53
34.4  48
58.7  32
28.8  28
47.2  25
36.5  23
38.3  21
51.0  20

Structural model:
a b c (Å): 3.855 15.633 9.591
angles (deg): 90.00 90.00 90.00
Space group Imm2 (No. 44)
Inequivalent atoms, fractional coordinates:
Dy (0.000, 0.000, 0.000)
Y (0.000, 0.131, 0.418)
Y (0.000, 0.316, 0.620)
Er (0.000, 0.354, 0.268)
Ni (0.000, 0.238, 0.928)
Te (0.000, 0.000, 0.664)
Te (0.000, 0.500, 0.764)

---

Entry 6:
Simulated powder diffractogram of Dy2Y2Er3Ni2Te2 for Cu Ka, from a crystal structure in OQMD, relaxed with PBE.
Lines closer than 0.1° are merged.

Peak list (10 most intense, 5° ≤ 2θ ≤ 70°, most intense first)
2theta  I (rel.)
34.2  100
33.0  60
30.4  49
34.6  48
59.0  29
51.2  24
47.4  23
38.5  15
45.1  15
36.7  14

Structural model:
a b c (Å): 3.832 15.562 9.556
angles (deg): 90.00 90.00 90.00
Space group Imm2 (No. 44)
Inequivalent atoms, fractional coordinates:
Dy (0.000, 0.132, 0.000)
Y (0.000, 0.316, 0.202)
Er (0.000, 0.000, 0.581)
Er (0.000, 0.353, 0.851)
Ni (0.000, 0.238, 0.508)
Te (0.000, 0.000, 0.247)
Te (0.000, 0.500, 0.345)

---

Entry 7:
Simulated powder diffractogram of Dy2Y2Er3Ni2Te2 for Cu Ka, from a crystal structure in OQMD, relaxed with PBE.
Lines closer than 0.1° are merged.

Peak list (10 most intense, 5° ≤ 2θ ≤ 70°, most intense first)
2theta  I (rel.)
34.0  100
34.5  87
32.9  79
30.4  49
58.8  36
47.2  30
30.1  29
24.9  23
38.4  22
36.6  21

Structural model:
a b c (Å): 3.848 15.607 9.571
angles (deg): 90.00 90.00 90.00
Space group Imm2 (No. 44)
Inequivalent atoms, fractional coordinates:
Dy (0.000, 0.132, 0.000)
Y (0.000, 0.354, 0.850)
Er (0.000, 0.000, 0.582)
Er (0.000, 0.316, 0.201)
Ni (0.000, 0.239, 0.510)
Te (0.000, 0.000, 0.246)
Te (0.000, 0.500, 0.346)

---

Entry 8:
Simulated powder diffractogram of DyY4Er2Ni2Te2 for Cu Ka, from a crystal structure in OQMD, relaxed with PBE.
Lines closer than 0.1° are merged.

Peak list (10 most intense, 5° ≤ 2θ ≤ 70°, most intense first)
2theta  I (rel.)
34.0  100
32.9  57
34.5  57
30.3  46
58.8  27
47.2  26
51.1  21
30.1  17
38.4  16
28.5  14

Structural model:
a b c (Å): 3.852 15.597 9.577
angles (deg): 90.00 90.00 90.00
Space group Imm2 (No. 44)
Inequivalent atoms, fractional coordinates:
Dy (0.000, 0.000, 0.000)
Y (0.000, 0.316, 0.620)
Y (0.000, 0.354, 0.268)
Er (0.000, 0.132, 0.418)
Ni (0.000, 0.239, 0.928)
Te (0.000, 0.000, 0.663)
Te (0.000, 0.500, 0.765)